For MnN3O, a cell relaxed with GGA+U gives the calculated powder diffraction line list in this record (λ = 1.5418 Å (Cu Kα)).

Cell: 3.6815 3.6815 3.6815 Å, 90.00 90.00 90.00°
Space group Pm-3m (No. 221)
One atom of each set of equivalent atoms:
Mn (0.0000, 0.0000, 0.0000) (multiplicity 1)
N (0.0000, 0.0000, 0.5000) (multiplicity 3)
O (0.5000, 0.5000, 0.5000) (multiplicity 1)

Top 7 peaks for 2θ from 10° to 80°, in order of rising 2θ:
| h k l | d_spacing | two_theta | I (rel.) |
| --- | --- | --- | --- |
| 1 0 0 | 3.682 | 24.2 | 100 |
| 1 1 0 | 2.603 | 34.5 | 95 |
| 2 0 0 | 1.841 | 49.5 | 52 |
| 2 1 0 | 1.646 | 55.8 | 34 |
| 2 1 1 | 1.503 | 61.7 | 30 |
| 2 2 0 | 1.302 | 72.6 | 26 |
| 3 0 0 | 1.227 | 77.8 | 15 |